(1)
Structure and simulated X-ray powder pattern of Pa2InSn5 (a PBE-relaxed structure; Cu Kα X-rays).

Principal peaks in the range 2θ from 10° to 90°, by angle:
2theta, I/Imax
19.11, 9
33.41, 100
38.68, 17
38.82, 33
55.98, 29
66.67, 14
66.86, 26
70.19, 11

Cell and atoms:
```
data_Pa2InSn5
_space_group_name_H-M_alt 'P b a m'
_space_group_IT_number 55
_space_group_name_Hall '-P 2 2ab'
_cell_length_a 6.5600
_cell_length_b 13.1239
_cell_length_c 4.6554
_cell_angle_alpha 90.00
_cell_angle_beta 90.00
_cell_angle_gamma 90.00
loop_
_atom_site_label
_atom_site_fract_x
_atom_site_fract_y
_atom_site_fract_z
Pa1 0.2324 0.1290 0.0000
In1 0.0000 0.5000 0.5000
Sn1 0.0000 0.0000 0.5000
Sn2 0.0180 0.7489 0.5000
Sn3 0.2337 0.3792 0.0000
```

(2)
Structure and simulated X-ray powder pattern of PaIn2Sn2 (a PBE-relaxed structure; Cu Kα X-rays).

Principal peaks in the range 2θ from 10° to 90°, by angle:
2theta, I/Imax
13.79, 30
19.91, 21
28.91, 42
34.41, 69
34.84, 100
49.78, 25
62.19, 26
68.92, 28

Cell and atoms:
```
data_PaIn2Sn2
_space_group_name_H-M_alt 'P 63/m m c'
_space_group_IT_number 194
_space_group_name_Hall '-P 6c 2c'
_cell_length_a 5.1505
_cell_length_b 5.1505
_cell_length_c 12.8448
_cell_angle_alpha 90.00
_cell_angle_beta 90.00
_cell_angle_gamma 120.00
loop_
_atom_site_label
_atom_site_fract_x
_atom_site_fract_y
_atom_site_fract_z
Pa1 0.0000 0.0000 0.2500
In1 0.0000 0.0000 0.0000
In2 0.3333 0.6667 0.2500
Sn1 0.3333 0.6667 0.6238
```

(3)
Structure and simulated X-ray powder pattern of Pa2InTe4 (a PBE-relaxed structure; Cu Kα X-rays).

Principal peaks in the range 2θ from 10° to 90°, by angle:
2theta, I/Imax
17.17, 25
28.88, 15
33.79, 100
34.75, 46
49.96, 17
59.83, 19
61.68, 35
71.08, 12

Cell and atoms:
```
data_Pa2InTe4
_space_group_name_H-M_alt 'I 4 m m'
_space_group_IT_number 107
_space_group_name_Hall 'I 4 -2'
_cell_length_a 7.3023
_cell_length_b 7.3023
_cell_length_c 7.7207
_cell_angle_alpha 90.00
_cell_angle_beta 90.00
_cell_angle_gamma 90.00
loop_
_atom_site_label
_atom_site_fract_x
_atom_site_fract_y
_atom_site_fract_z
Pa1 0.0000 0.5000 0.0000
In1 0.0000 0.0000 0.0008
Te1 0.2501 0.2501 0.2501
```

(4)
Structure and simulated X-ray powder pattern of Pa3InTe6 (a PBE-relaxed structure; Cu Kα X-rays).

Principal peaks in the range 2θ from 10° to 90°, by angle:
2theta, I/Imax
14.87, 51
22.53, 99
22.79, 52
29.99, 50
31.53, 92
32.93, 100
33.49, 58
38.52, 72

Cell and atoms:
```
data_Pa3InTe6
_space_group_name_H-M_alt 'C m c 21'
_space_group_IT_number 36
_space_group_name_Hall 'C 2c -2'
_cell_length_a 11.6907
_cell_length_b 14.6024
_cell_length_c 7.8666
_cell_angle_alpha 90.00
_cell_angle_beta 90.00
_cell_angle_gamma 90.00
loop_
_atom_site_label
_atom_site_fract_x
_atom_site_fract_y
_atom_site_fract_z
Pa1 0.0000 0.0908 0.0000
Pa2 0.1771 0.4004 0.1088
In1 0.0000 0.3133 0.6247
Te1 0.0000 0.2617 0.2324
Te2 0.0000 0.4951 0.8646
Te3 0.1667 0.0426 0.2995
Te4 0.1888 0.2235 0.8640
```

(5)
Structure and simulated X-ray powder pattern of Pa2InTe4 (a PBE-relaxed structure; Cu Kα X-rays).

Principal peaks in the range 2θ from 10° to 90°, by angle:
2theta, I/Imax
11.76, 64
22.58, 64
22.72, 34
27.30, 80
27.53, 40
35.71, 46
38.99, 50
39.16, 100

Cell and atoms:
```
data_Pa2InTe4
_space_group_name_H-M_alt 'F d d d'
_space_group_IT_number 70
_cell_length_a 12.9619
_cell_length_b 13.0590
_cell_length_c 13.0772
_cell_angle_alpha 90.00
_cell_angle_beta 90.00
_cell_angle_gamma 90.00
loop_
_space_group_symop_operation_xyz
'x,y,z'
'-x,-y,-z'
'-x+1/4,-y+1/4,z'
'x+1/4,y+1/4,-z'
'x,-y+1/4,-z+1/4'
'-x,y+1/4,z+1/4'
'-x+1/4,y,-z+1/4'
'x+1/4,-y,z+1/4'
'x,y+1/2,z+1/2'
'-x,-y+1/2,-z+1/2'
'-x+1/4,-y+3/4,z+1/2'
'x+1/4,y+3/4,-z+1/2'
'x,-y+3/4,-z+3/4'
'-x,y+3/4,z+3/4'
'-x+1/4,y+1/2,-z+3/4'
'x+1/4,-y+1/2,z+3/4'
'x+1/2,y,z+1/2'
'-x+1/2,-y,-z+1/2'
'-x+3/4,-y+1/4,z+1/2'
'x+3/4,y+1/4,-z+1/2'
'x+1/2,-y+1/4,-z+3/4'
'-x+1/2,y+1/4,z+3/4'
'-x+3/4,y,-z+3/4'
'x+3/4,-y,z+3/4'
'x+1/2,y+1/2,z'
'-x+1/2,-y+1/2,-z'
'-x+3/4,-y+3/4,z'
'x+3/4,y+3/4,-z'
'x+1/2,-y+3/4,-z+1/4'
'-x+1/2,y+3/4,z+1/4'
'-x+3/4,y+1/2,-z+1/4'
'x+3/4,-y+1/2,z+1/4'
loop_
_atom_site_label
_atom_site_fract_x
_atom_site_fract_y
_atom_site_fract_z
Pa1 0.0000 0.0000 0.0000
In1 0.1250 0.1250 0.6250
Te1 0.0102 0.0120 0.2377
```

(6)
Structure and simulated X-ray powder pattern of In5Pb24 (a PBE-relaxed structure; Cu Kα X-rays).

Principal peaks in the range 2θ from 10° to 90°, by angle:
2theta, I/Imax
29.10, 16
30.91, 100
34.27, 40
35.84, 11
37.36, 36
52.73, 14
54.97, 28
56.07, 14

Cell and atoms:
```
data_In5Pb24
_space_group_name_H-M_alt 'I -4 3 m'
_space_group_IT_number 217
_space_group_name_Hall 'I -4 2 3'
_cell_length_a 12.2742
_cell_length_b 12.2742
_cell_length_c 12.2742
_cell_angle_alpha 90.00
_cell_angle_beta 90.00
_cell_angle_gamma 90.00
loop_
_atom_site_label
_atom_site_fract_x
_atom_site_fract_y
_atom_site_fract_z
In1 0.0000 0.0000 0.0000
In2 0.1686 0.1686 0.1686
Pb1 0.0502 0.3589 0.6411
Pb2 0.0940 0.0940 0.7115
```

(7)
Structure and simulated X-ray powder pattern of In4Pb (a PBE-relaxed structure; Cu Kα X-rays).

Principal peaks in the range 2θ from 10° to 90°, by angle:
2theta, I/Imax
32.08, 100
32.20, 33
36.54, 47
38.62, 20
54.12, 15
54.31, 15
62.97, 28
67.09, 11

Cell and atoms:
```
data_In4Pb
_space_group_name_H-M_alt 'C 1 2/m 1'
_space_group_IT_number 12
_space_group_name_Hall '-C 2y'
_cell_length_a 5.8016
_cell_length_b 3.4808
_cell_length_c 14.0192
_cell_angle_alpha 90.00
_cell_angle_beta 95.19
_cell_angle_gamma 90.00
loop_
_atom_site_label
_atom_site_fract_x
_atom_site_fract_y
_atom_site_fract_z
In1 0.0994 0.0000 0.2945
In2 0.2018 0.5000 0.0977
Pb1 0.0000 0.5000 0.5000
```

(8)
Structure and simulated X-ray powder pattern of In7Pb3 (a PBE-relaxed structure; Cu Kα X-rays).

Principal peaks in the range 2θ from 10° to 90°, by angle:
2theta, I/Imax
31.92, 100
32.08, 98
35.36, 38
36.31, 35
39.57, 28
51.58, 26
54.09, 22
61.36, 30

Cell and atoms:
```
data_In7Pb3
_space_group_name_H-M_alt 'C 1 2/m 1'
_space_group_IT_number 12
_space_group_name_Hall '-C 2y'
_cell_length_a 16.9301
_cell_length_b 5.0775
_cell_length_c 6.7023
_cell_angle_alpha 90.00
_cell_angle_beta 96.64
_cell_angle_gamma 90.00
loop_
_atom_site_label
_atom_site_fract_x
_atom_site_fract_y
_atom_site_fract_z
In1 0.0000 0.0000 0.0000
In2 0.0980 0.5000 0.2988
In3 0.0982 0.5000 0.7994
In4 0.2018 0.0000 0.6041
Pb1 0.0000 0.0000 0.5000
Pb2 0.2000 0.0000 0.1084
```

(9)
Structure and simulated X-ray powder pattern of In3Pb (a PBE-relaxed structure; Cu Kα X-rays).

Principal peaks in the range 2θ from 10° to 90°, by angle:
2theta, I/Imax
32.05, 28
32.31, 27
33.40, 100
46.15, 20
57.99, 20
58.32, 19
60.37, 9
70.15, 11

Cell and atoms:
```
data_In3Pb
_space_group_name_H-M_alt 'I m m m'
_space_group_IT_number 71
_space_group_name_Hall '-I 2 2'
_cell_length_a 3.6689
_cell_length_b 5.5854
_cell_length_c 11.0833
_cell_angle_alpha 90.00
_cell_angle_beta 90.00
_cell_angle_gamma 90.00
loop_
_atom_site_label
_atom_site_fract_x
_atom_site_fract_y
_atom_site_fract_z
In1 0.0000 0.0000 0.0000
In2 0.0000 0.5000 0.2583
Pb1 0.0000 0.0000 0.5000
```

(10)
Structure and simulated X-ray powder pattern of In3Pb (a PBE-relaxed structure; Cu Kα X-rays).

Principal peaks in the range 2θ from 10° to 90°, by angle:
2theta, I/Imax
32.13, 100
35.76, 37
40.13, 14
51.58, 7
54.83, 22
61.91, 15
62.05, 15
67.91, 11

Cell and atoms:
```
data_In3Pb
_space_group_name_H-M_alt 'P m m m'
_space_group_IT_number 47
_space_group_name_Hall '-P 2 2'
_cell_length_a 3.5438
_cell_length_b 4.4943
_cell_length_c 7.1148
_cell_angle_alpha 90.00
_cell_angle_beta 90.00
_cell_angle_gamma 90.00
loop_
_atom_site_label
_atom_site_fract_x
_atom_site_fract_y
_atom_site_fract_z
In1 0.0000 0.0000 0.0000
In2 0.5000 0.5000 0.2387
Pb1 0.0000 0.0000 0.5000
```

(11)
Structure and simulated X-ray powder pattern of In4Pb3 (a PBE-relaxed structure; Cu Kα X-rays).

Principal peaks in the range 2θ from 10° to 90°, by angle:
2theta, I/Imax
31.31, 100
32.06, 94
36.20, 34
37.02, 64
52.74, 46
62.08, 14
62.74, 27
64.06, 25

Cell and atoms:
```
data_In4Pb3
_space_group_name_H-M_alt 'I m m m'
_space_group_IT_number 71
_space_group_name_Hall '-I 2 2'
_cell_length_a 3.4939
_cell_length_b 4.9629
_cell_length_c 23.6398
_cell_angle_alpha 90.00
_cell_angle_beta 90.00
_cell_angle_gamma 90.00
loop_
_atom_site_label
_atom_site_fract_x
_atom_site_fract_y
_atom_site_fract_z
In1 0.0000 0.0000 0.0712
In2 0.0000 0.0000 0.2129
Pb1 0.0000 0.0000 0.3545
Pb2 0.0000 0.0000 0.5000
```

(12)
Structure and simulated X-ray powder pattern of In3Pb2 (a PBE-relaxed structure; Cu Kα X-rays).

Principal peaks in the range 2θ from 10° to 90°, by angle:
2theta, I/Imax
29.16, 66
32.26, 100
33.57, 86
38.53, 62
49.04, 31
54.56, 21
54.87, 19
58.83, 18

Cell and atoms:
```
data_In3Pb2
_space_group_name_H-M_alt 'F d d 2'
_space_group_IT_number 43
_space_group_name_Hall 'F 2 -2d'
_cell_length_a 12.2515
_cell_length_b 29.6635
_cell_length_c 3.2476
_cell_angle_alpha 90.00
_cell_angle_beta 90.00
_cell_angle_gamma 90.00
loop_
_atom_site_label
_atom_site_fract_x
_atom_site_fract_y
_atom_site_fract_z
In1 0.0000 0.0000 0.0000
In2 0.0035 0.0947 0.4933
Pb1 0.0022 0.1962 0.9779
```

(13)
Structure and simulated X-ray powder pattern of In24Pb5 (a PBE-relaxed structure; Cu Kα X-rays).

Principal peaks in the range 2θ from 10° to 90°, by angle:
2theta, I/Imax
28.37, 7
30.37, 9
32.26, 100
35.77, 22
37.42, 14
39.01, 10
55.17, 13
57.53, 25

Cell and atoms:
```
data_In24Pb5
_space_group_name_H-M_alt 'I -4 3 m'
_space_group_IT_number 217
_space_group_name_Hall 'I -4 2 3'
_cell_length_a 11.7729
_cell_length_b 11.7729
_cell_length_c 11.7729
_cell_angle_alpha 90.00
_cell_angle_beta 90.00
_cell_angle_gamma 90.00
loop_
_atom_site_label
_atom_site_fract_x
_atom_site_fract_y
_atom_site_fract_z
In1 0.0467 0.3617 0.3617
In2 0.0951 0.0951 0.2870
Pb1 0.0000 0.0000 0.0000
Pb2 0.1726 0.1726 0.8274
```